[1]
Starting from the GGA-PBE geometry in the Materials Project, the XRD peak list of SrMgP3N5O2 was computed for Cu Kα (λ = 1.5418 Å).
No peak broadening, texture or thermal motion is included.

Structure:
abc: 7.022 6.663 14.142
angles: 90.00 118.71 90.00
Fractional coordinates of all 48 atoms:
Sr (0.017, 0.245, 0.391)
Sr (0.017, 0.255, 0.891)
Sr (0.983, 0.745, 0.109)
Sr (0.983, 0.755, 0.609)
Mg (0.480, 0.006, 0.115)
Mg (0.480, 0.494, 0.615)
Mg (0.520, 0.506, 0.385)
Mg (0.520, 0.994, 0.885)
P (0.225, 0.242, 0.709)
P (0.225, 0.258, 0.209)
P (0.240, 0.724, 0.911)
P (0.240, 0.776, 0.411)
P (0.437, 0.516, 0.119)
P (0.437, 0.984, 0.619)
P (0.563, 0.016, 0.381)
P (0.563, 0.484, 0.881)
P (0.760, 0.224, 0.589)
P (0.760, 0.276, 0.089)
P (0.775, 0.742, 0.791)
P (0.775, 0.758, 0.291)
N (0.012, 0.702, 0.800)
N (0.012, 0.798, 0.300)
N (0.232, 0.579, 0.002)
N (0.232, 0.921, 0.502)
N (0.322, 0.025, 0.695)
N (0.322, 0.475, 0.195)
N (0.393, 0.206, 0.337)
N (0.393, 0.294, 0.837)
N (0.443, 0.689, 0.887)
N (0.443, 0.811, 0.387)
N (0.557, 0.189, 0.613)
N (0.557, 0.311, 0.113)
N (0.607, 0.706, 0.163)
N (0.607, 0.794, 0.663)
N (0.678, 0.525, 0.805)
N (0.678, 0.975, 0.305)
N (0.768, 0.079, 0.498)
N (0.768, 0.421, 0.998)
N (0.988, 0.202, 0.700)
N (0.988, 0.298, 0.200)
O (0.214, 0.088, 0.130)
O (0.214, 0.412, 0.630)
O (0.279, 0.551, 0.451)
O (0.279, 0.949, 0.951)
O (0.721, 0.051, 0.049)
O (0.721, 0.449, 0.549)
O (0.786, 0.588, 0.370)
O (0.786, 0.912, 0.870)

Largest 10 diffraction maxima, most intense first, 5° ≤ 2θ ≤ 70°:
d_spacing	2θ (°)	Rel. int.	(hkl)
3.104	28.76	100.0	0 0 4
2.930	30.51	66.6	1 2 0
3.162	28.23	62.8	1 1 2
3.031	29.47	37.5	2 0 -4
2.180	41.43	36.2	3 1 -2
2.424	37.09	33.0	1 2 -4
2.212	40.79	20.3	2 1 2
3.122	28.59	18.9	1 1 -4
3.534	25.20	16.8	1 0 -4
3.331	26.76	14.9	0 2 0


[2]
Starting from the GGA-PBE geometry in the Materials Project, the XRD peak list of GdDy3Ni4 was computed for Cu Kα (λ = 1.5418 Å).
No peak broadening, texture or thermal motion is included.

Structure:
abc: 5.470 4.193 7.131
angles: 90.00 90.01 90.00
Fractional coordinates of all 8 atoms:
Gd (0.000, 0.000, 0.000)
Dy (0.232, 0.000, 0.501)
Dy (0.500, 0.500, 0.142)
Dy (0.731, 0.500, 0.640)
Ni (0.241, 0.500, 0.781)
Ni (0.492, 0.000, 0.858)
Ni (0.739, 0.000, 0.360)
Ni (0.991, 0.500, 0.285)

Largest 10 diffraction maxima, most intense first, 5° ≤ 2θ ≤ 70°:
d_spacing	2θ (°)	Rel. int.	(hkl)
2.181	41.41	100.0	1 0 -3
2.716	32.98	82.5	0 1 2
2.554	35.14	74.6	2 0 -1
2.433	36.95	70.8	1 1 2
3.015	29.63	66.8	1 1 -1
2.096	43.15	42.2	0 2 0
1.620	56.82	37.4	2 2 -1
3.328	26.79	31.0	1 1 0
2.987	29.91	22.4	1 0 -2
1.511	61.35	21.9	1 2 -3